[1]
This entry pairs a crystal structure of Dy3Co7Ge2 with its simulated X-ray powder pattern. Radiation: Cu Ka. Structure: a GGA-PBE-relaxed structure.

Cell and atoms:
Unit cell a=5.1910 b=5.1910 c=22.9103 alpha=90.00 beta=90.00 gamma=120.00
Space group R-3m (No. 166, hexagonal axes)
Unique sites:
Dy  0.0000  0.0000  0.0000 (multiplicity 3)
Dy  0.0000  0.0000  0.1411 (multiplicity 6)
Co  0.0000  0.0000  0.5000 (multiplicity 3)
Co  0.0032  0.5016  0.0817 (multiplicity 18)
Ge  0.0000  0.0000  0.3327 (multiplicity 6)

Peak list (8 most intense, 2θ from 10° to 80°, in order of rising 2θ)
index  two_theta  Rel. int.
1 0 7  33.88  42
1 1 0  34.56  61
0 1 8  37.23  29
0 2 1  40.32  37
1 1 6  42.10  100
0 3 6  67.10  24
1 1 15  71.69  16
2 2 0  72.89  23

***

[2]
This entry pairs a crystal structure of Dy3Co4Ge13 with its simulated X-ray powder pattern. Radiation: Cu Ka. Structure: a GGA-PBE-relaxed structure.

Cell and atoms:
Unit cell a=8.788 b=8.788 c=8.788 alpha=90.00 beta=90.00 gamma=90.00
Space group Pm-3n (No. 223)
Unique sites:
Dy  0.000  0.250  0.500 (multiplicity 6)
Co  0.250  0.250  0.250 (multiplicity 8)
Ge  0.000  0.000  0.000 (multiplicity 2)
Ge  0.000  0.303  0.153 (multiplicity 24)

Peak list (8 most intense, 2θ from 10° to 80°, in order of rising 2θ)
index  two_theta  Rel. int.
2 1 0  22.63  14
3 2 0  36.88  100
3 2 1  38.32  38
4 0 0  41.09  25
4 3 2  56.38  10
4 3 3  61.53  12
5 3 2  65.47  15
6 2 2  71.17  14

***

[3]
This entry pairs a crystal structure of Dy7InCo4Ge12 with its simulated X-ray powder pattern. Radiation: Cu Ka. Structure: a GGA-PBE-relaxed structure.

Cell and atoms:
Unit cell a=10.374 b=10.374 c=4.205 alpha=90.00 beta=90.00 gamma=90.00
Space group P4/m (No. 83)
Unique sites:
Dy  0.000  0.000  0.000 (multiplicity 1)
Dy  0.000  0.500  0.500 (multiplicity 2)
Dy  0.321  0.674  0.500 (multiplicity 4)
In  0.500  0.500  0.000 (multiplicity 1)
Co  0.117  0.277  0.000 (multiplicity 4)
Ge  0.064  0.196  0.500 (multiplicity 4)
Ge  0.113  0.714  0.000 (multiplicity 4)
Ge  0.213  0.485  0.000 (multiplicity 4)

Peak list (8 most intense, 2θ from 10° to 80°, in order of rising 2θ)
index  two_theta  Rel. int.
3 0 1  33.55  19
3 1 1  34.67  100
3 2 1  37.89  28
2 4 0  38.82  24
0 0 2  43.02  25
2 5 0  47.18  11
3 5 1  56.13  14
2 4 2  59.32  14

***

[4]
This entry pairs a crystal structure of DyCoGe2Ir with its simulated X-ray powder pattern. Radiation: Cu Ka. Structure: a GGA-PBE-relaxed structure.

Cell and atoms:
Unit cell a=4.053 b=4.053 c=10.323 alpha=90.00 beta=90.00 gamma=90.00
Space group I-4m2 (No. 119)
Unique sites:
Dy  0.000  0.000  0.000 (multiplicity 2)
Co  0.000  0.500  0.250 (multiplicity 2)
Ge  0.000  0.000  0.377 (multiplicity 4)
Ir  0.000  0.500  0.750 (multiplicity 2)

Peak list (8 most intense, 2θ from 10° to 80°, in order of rising 2θ)
index  two_theta  Rel. int.
1 0 1  23.58  31
1 0 3  34.18  56
1 1 2  35.84  100
2 0 0  44.72  49
1 0 5  49.55  21
2 1 3  57.46  25
1 1 6  63.02  18
3 1 2  76.59  22

***

[5]
This entry pairs a crystal structure of DyMgCo2Ge2 with its simulated X-ray powder pattern. Radiation: Cu Ka. Structure: a GGA-PBE-relaxed structure.

Cell and atoms:
Unit cell a=4.1271 b=4.1271 c=6.6141 alpha=90.00 beta=90.00 gamma=120.00
Space group P-3m1 (No. 164)
Unique sites:
Dy  0.0000  0.0000  0.0000 (multiplicity 1)
Mg  0.0000  0.0000  0.5000 (multiplicity 1)
Co  0.3333  0.6667  0.6427 (multiplicity 2)
Ge  0.3333  0.6667  0.2729 (multiplicity 2)

Peak list (8 most intense, 2θ from 10° to 80°, in order of rising 2θ)
index  two_theta  Rel. int.
0 1 1  28.38  92
0 1 2  37.03  100
1 1 0  43.87  83
1 0 3  48.52  17
2 0 1  53.08  16
2 0 2  58.73  26
1 1 3  61.55  27
1 2 2  76.11  24

***

[6]
This entry pairs a crystal structure of DyMnCoGe2 with its simulated X-ray powder pattern. Radiation: Cu Ka. Structure: a GGA-PBE-relaxed structure.

Cell and atoms:
Unit cell a=3.968 b=3.968 c=10.453 alpha=90.00 beta=90.00 gamma=90.00
Space group I-4m2 (No. 119)
Unique sites:
Dy  0.000  0.000  0.000 (multiplicity 2)
Mn  0.000  0.500  0.750 (multiplicity 2)
Co  0.000  0.500  0.250 (multiplicity 2)
Ge  0.000  0.000  0.378 (multiplicity 4)

Peak list (8 most intense, 2θ from 10° to 80°, in order of rising 2θ)
index  two_theta  Rel. int.
1 1 0  31.89  31
1 0 3  34.25  100
1 1 2  36.34  96
2 0 0  45.73  56
1 0 5  49.26  38
2 1 3  58.36  45
2 1 5  69.47  27
3 1 2  78.36  19

***

[7]
This entry pairs a crystal structure of Dy2Co3Ni12Ge with its simulated X-ray powder pattern. Radiation: Cu Ka. Structure: a GGA-PBE-relaxed structure.

Cell and atoms:
Unit cell a=8.2415 b=8.2415 c=12.0428 alpha=90.00 beta=90.00 gamma=120.00
Space group R-3m (No. 166, hexagonal axes)
Unique sites:
Dy  0.0000  0.0000  0.2259 (multiplicity 6)
Co  0.0000  0.5000  0.0000 (multiplicity 9)
Ni  0.0203  0.5102  0.2098 (multiplicity 18)
Ni  0.0457  0.5229  0.6017 (multiplicity 18)
Ge  0.0000  0.0000  0.5000 (multiplicity 3)

Peak list (8 most intense, 2θ from 10° to 80°, in order of rising 2θ)
index  two_theta  Rel. int.
2 0 2  29.09  15
1 1 3  31.10  17
1 2 2  36.50  31
0 2 4  39.15  16
2 2 0  43.95  100
0 3 3  44.26  16
2 0 5  45.43  64
0 4 5  65.05  16

***

[8]
This entry pairs a crystal structure of DyCo2H8 with its simulated X-ray powder pattern. Radiation: Cu Ka. Structure: a GGA-PBE-relaxed structure.

Cell and atoms:
Unit cell a=4.048 b=4.048 c=4.726 alpha=90.00 beta=90.00 gamma=90.00
Space group P4/mmm (No. 123)
Unique sites:
Dy  0.000  0.000  0.000 (multiplicity 1)
Co  0.000  0.500  0.500 (multiplicity 2)
H  0.283  0.283  0.316 (multiplicity 8)

Peak list (8 most intense, 2θ from 10° to 80°, in order of rising 2θ)
index  two_theta  Rel. int.
1 0 0  21.95  57
1 0 1  29.04  60
1 1 1  36.70  100
0 0 2  38.08  21
2 0 0  44.77  27
2 1 1  54.26  21
2 0 2  60.20  23
3 1 1  77.20  21